[1]
Theoretical XRD peak list of K7Rb2 for Cu Kα (λ = 1.5418 Å), from a cell relaxed with PBE.
Lines closer than 0.1° are merged.

Most intense lines, 10 to 90 degrees two-theta, most intense first:
| 2θ/deg | I/Imax |
| --- | --- |
| 22.88 | 100 |
| 26.52 | 67 |
| 44.66 | 44 |
| 23.02 | 31 |
| 37.94 | 25 |
| 37.76 | 24 |
| 44.85 | 14 |
| 46.74 | 13 |
| 59.84 | 12 |
| 61.58 | 11 |
| 61.83 | 10 |
| 85.24 | 8 |

Atomic structure:
```
data_K7Rb2
_chemical_formula_sum 'K7 Rb2'
_space_group_name_H-M_alt 'P 1'
_space_group_IT_number 1
_space_group_name_Hall 'P 1'
_cell_length_a 8.252
_cell_length_b 8.252
_cell_length_c 11.591
_cell_angle_alpha 90.00
_cell_angle_beta 90.00
_cell_angle_gamma 120.00
loop_
_atom_site_label
_atom_site_type_symbol
_atom_site_fract_x
_atom_site_fract_y
_atom_site_fract_z
K1 K 0.000 0.000 0.000
K2 K 0.000 0.330 0.662
K3 K 0.000 0.670 0.338
K4 K 0.330 0.000 0.662
K5 K 0.330 0.330 0.338
K6 K 0.670 0.000 0.338
K7 K 0.670 0.670 0.662
Rb1 Rb 0.333 0.667 0.000
Rb2 Rb 0.667 0.333 0.000
```


[2]
Theoretical XRD peak list of Cs3TlHg2F8 for Cu Kα (λ = 1.5418 Å), from a cell relaxed with PBE.
Lines closer than 0.1° are merged.

Most intense lines, 10 to 90 degrees two-theta, most intense first:
| 2θ/deg | I/Imax |
| --- | --- |
| 26.12 | 100 |
| 25.18 | 83 |
| 36.60 | 44 |
| 45.52 | 35 |
| 46.09 | 22 |
| 58.83 | 20 |
| 43.78 | 18 |
| 18.06 | 18 |
| 53.74 | 18 |
| 60.24 | 16 |
| 51.69 | 14 |
| 73.44 | 11 |

Atomic structure:
```
data_Cs3TlHg2F8
_chemical_formula_sum 'Cs3 Tl1 Hg2 F8'
_space_group_name_H-M_alt 'P 1'
_space_group_IT_number 1
_space_group_name_Hall 'P 1'
_cell_length_a 6.823
_cell_length_b 6.823
_cell_length_c 8.830
_cell_angle_alpha 90.00
_cell_angle_beta 90.00
_cell_angle_gamma 120.00
loop_
_atom_site_label
_atom_site_type_symbol
_atom_site_fract_x
_atom_site_fract_y
_atom_site_fract_z
Cs1 Cs 0.000 0.000 0.000
Cs2 Cs 0.333 0.667 0.617
Cs3 Cs 0.667 0.333 0.383
Tl1 Tl 0.000 0.000 0.500
Hg1 Hg 0.333 0.667 0.173
Hg2 Hg 0.667 0.333 0.827
F1 F 0.173 0.346 0.310
F2 F 0.173 0.827 0.310
F3 F 0.333 0.667 0.933
F4 F 0.346 0.173 0.690
F5 F 0.654 0.827 0.310
F6 F 0.667 0.333 0.067
F7 F 0.827 0.173 0.690
F8 F 0.827 0.654 0.690
```


[3]
Theoretical XRD peak list of CsTh4Te8 for Cu Kα (λ = 1.5418 Å), from a cell relaxed with PBE.
Lines closer than 0.1° are merged.

Most intense lines, 10 to 90 degrees two-theta, most intense first:
| 2θ/deg | I/Imax |
| --- | --- |
| 29.69 | 100 |
| 35.85 | 44 |
| 24.18 | 43 |
| 41.79 | 41 |
| 32.59 | 29 |
| 25.37 | 26 |
| 42.78 | 23 |
| 52.10 | 21 |
| 62.93 | 18 |
| 68.91 | 18 |
| 43.18 | 17 |
| 55.97 | 13 |

Atomic structure:
```
data_CsTh4Te8
_chemical_formula_sum 'Cs2 Th8 Te16'
_space_group_name_H-M_alt 'P 1'
_space_group_IT_number 1
_space_group_name_Hall 'P 1'
_cell_length_a 8.646
_cell_length_b 8.646
_cell_length_c 20.226
_cell_angle_alpha 90.00
_cell_angle_beta 90.00
_cell_angle_gamma 120.00
loop_
_atom_site_label
_atom_site_type_symbol
_atom_site_fract_x
_atom_site_fract_y
_atom_site_fract_z
Cs1 Cs 0.000 0.000 0.000
Cs2 Cs 0.000 0.000 0.500
Th1 Th 0.000 0.000 0.250
Th2 Th 0.000 0.000 0.750
Th3 Th 0.006 0.503 0.250
Th4 Th 0.497 0.503 0.250
Th5 Th 0.497 0.994 0.250
Th6 Th 0.503 0.006 0.750
Th7 Th 0.503 0.497 0.750
Th8 Th 0.994 0.497 0.750
Te1 Te 0.168 0.335 0.653
Te2 Te 0.168 0.335 0.847
Te3 Te 0.168 0.832 0.653
Te4 Te 0.168 0.832 0.847
Te5 Te 0.333 0.667 0.152
Te6 Te 0.333 0.667 0.348
Te7 Te 0.335 0.168 0.153
Te8 Te 0.335 0.168 0.347
Te9 Te 0.665 0.832 0.653
Te10 Te 0.665 0.832 0.847
Te11 Te 0.667 0.333 0.652
Te12 Te 0.667 0.333 0.848
Te13 Te 0.832 0.168 0.153
Te14 Te 0.832 0.168 0.347
Te15 Te 0.832 0.665 0.153
Te16 Te 0.832 0.665 0.347
```


[4]
Theoretical XRD peak list of Tb5P2Se2 for Cu Kα (λ = 1.5418 Å), from a cell relaxed with PBE.
Lines closer than 0.1° are merged.

Most intense lines, 10 to 90 degrees two-theta, most intense first:
| 2θ/deg | I/Imax |
| --- | --- |
| 36.41 | 100 |
| 32.30 | 92 |
| 34.33 | 80 |
| 26.35 | 79 |
| 38.16 | 74 |
| 38.03 | 73 |
| 35.32 | 65 |
| 27.01 | 64 |
| 54.86 | 42 |
| 33.47 | 40 |
| 24.67 | 32 |
| 61.03 | 31 |

Atomic structure:
```
data_Tb5P2Se2
_chemical_formula_sum 'Tb10 P4 Se4'
_space_group_name_H-M_alt 'P 1'
_space_group_IT_number 1
_space_group_name_Hall 'P 1'
_cell_length_a 8.147
_cell_length_b 8.147
_cell_length_c 7.589
_cell_angle_alpha 90.00
_cell_angle_beta 90.00
_cell_angle_gamma 55.26
loop_
_atom_site_label
_atom_site_type_symbol
_atom_site_fract_x
_atom_site_fract_y
_atom_site_fract_z
Tb1 Tb 0.000 0.000 0.000
Tb2 Tb 0.027 0.712 0.656
Tb3 Tb 0.212 0.527 0.156
Tb4 Tb 0.288 0.973 0.656
Tb5 Tb 0.473 0.788 0.156
Tb6 Tb 0.500 0.500 0.500
Tb7 Tb 0.527 0.212 0.844
Tb8 Tb 0.712 0.027 0.344
Tb9 Tb 0.788 0.473 0.844
Tb10 Tb 0.973 0.288 0.344
P1 P 0.147 0.853 0.355
P2 P 0.353 0.647 0.855
P3 P 0.647 0.353 0.145
P4 P 0.853 0.147 0.645
Se1 Se 0.199 0.199 0.000
Se2 Se 0.301 0.301 0.500
Se3 Se 0.699 0.699 0.500
Se4 Se 0.801 0.801 0.000
```